Structure and theoretical powder diffraction line list of Sb2Os (a cell relaxed with PBE; Cu Kα (weighted mean of Kα1 and Kα2)).

Largest 6 diffraction maxima, in order of rising 2θ, 2θ = 10–90°:
2θ = 19.8°, I 56
2θ = 30.4°, I 61
2θ = 31.3°, I 100
2θ = 34.1°, I 57
2θ = 43.1°, I 83
2θ = 49.3°, I 77

Structural model:
Cell lengths 6.018, 6.747, 3.246 Å; angles 90.00, 90.00, 90.00 degrees
Fractional positions:
Sb: 0.182 0.142 0.000
Sb: 0.318 0.642 0.500
Sb: 0.682 0.358 0.500
Sb: 0.818 0.858 0.000
Os: 0.000 0.500 0.000
Os: 0.500 0.000 0.500


Structure and theoretical powder diffraction line list of Na4Cd2Si3O10 (a cell relaxed with PBE; Cu Kα (weighted mean of Kα1 and Kα2)).

Largest 6 diffraction maxima, in order of rising 2θ, 2θ = 10–90°:
2θ = 19.7°, I 66
2θ = 22.5°, I 56
2θ = 31.0°, I 100
2θ = 31.2°, I 90
2θ = 34.4°, I 93
2θ = 34.8°, I 52

Structural model:
Cell lengths 5.735, 5.735, 17.593 Å; angles 98.64, 98.64, 61.29 degrees
Fractional positions:
Na: 0.069 0.281 0.245
Na: 0.188 0.325 0.561
Na: 0.281 0.069 0.745
Na: 0.325 0.188 0.061
Na: 0.675 0.812 0.939
Na: 0.719 0.931 0.255
Na: 0.812 0.675 0.439
Na: 0.931 0.719 0.755
Cd: 0.301 0.500 0.915
Cd: 0.500 0.301 0.415
Cd: 0.500 0.699 0.585
Cd: 0.699 0.500 0.085
Si: 0.039 0.832 0.102
Si: 0.168 0.961 0.398
Si: 0.383 0.617 0.250
Si: 0.617 0.383 0.750
Si: 0.832 0.039 0.602
Si: 0.961 0.168 0.898
O: 0.050 0.114 0.117
O: 0.113 0.700 0.187
O: 0.114 0.050 0.617
O: 0.136 0.257 0.428
O: 0.257 0.136 0.928
O: 0.268 0.608 0.046
O: 0.300 0.887 0.313
O: 0.361 0.420 0.788
O: 0.392 0.732 0.454
O: 0.420 0.361 0.288
O: 0.580 0.639 0.712
O: 0.608 0.268 0.546
O: 0.639 0.580 0.212
O: 0.700 0.113 0.687
O: 0.732 0.392 0.954
O: 0.743 0.864 0.072
O: 0.864 0.743 0.572
O: 0.886 0.950 0.383
O: 0.887 0.300 0.813
O: 0.950 0.886 0.883


Structure and theoretical powder diffraction line list of Er3Sb4Pd8 (a cell relaxed with PBE; Cu Kα (weighted mean of Kα1 and Kα2)).

Largest 6 diffraction maxima, in order of rising 2θ, 2θ = 10–90°:
2θ = 30.4°, I 9
2θ = 35.4°, I 34
2θ = 38.7°, I 100
2θ = 55.9°, I 9
2θ = 67.9°, I 9
2θ = 70.0°, I 21

Structural model:
Cell lengths 9.311, 9.311, 9.311 Å; angles 60.00, 60.00, 60.00 degrees
Fractional positions:
Er: 0.225 0.225 0.775
Er: 0.225 0.775 0.225
Er: 0.225 0.775 0.775
Er: 0.775 0.225 0.225
Er: 0.775 0.225 0.775
Er: 0.775 0.775 0.225
Sb: 0.000 0.000 0.000
Sb: 0.000 0.000 0.500
Sb: 0.000 0.500 0.000
Sb: 0.000 0.500 0.500
Sb: 0.500 0.000 0.000
Sb: 0.500 0.000 0.500
Sb: 0.500 0.500 0.000
Sb: 0.500 0.500 0.500
Pd: 0.144 0.619 0.619
Pd: 0.166 0.166 0.166
Pd: 0.166 0.166 0.501
Pd: 0.166 0.501 0.166
Pd: 0.381 0.381 0.381
Pd: 0.381 0.381 0.856
Pd: 0.381 0.856 0.381
Pd: 0.499 0.834 0.834
Pd: 0.501 0.166 0.166
Pd: 0.619 0.144 0.619
Pd: 0.619 0.619 0.144
Pd: 0.619 0.619 0.619
Pd: 0.834 0.499 0.834
Pd: 0.834 0.834 0.499
Pd: 0.834 0.834 0.834
Pd: 0.856 0.381 0.381


Structure and theoretical powder diffraction line list of BaCdSnSe4 (a cell relaxed with PBE; Cu Kα (weighted mean of Kα1 and Kα2)).

Largest 6 diffraction maxima, in order of rising 2θ, 2θ = 10–90°:
2θ = 21.5°, I 61
2θ = 26.8°, I 38
2θ = 27.5°, I 35
2θ = 27.9°, I 39
2θ = 30.7°, I 37
2θ = 34.1°, I 100

Structural model:
Cell lengths 13.514, 13.331, 16.301 Å; angles 53.12, 52.10, 74.78 degrees
Fractional positions:
Ba: 0.000 0.000 0.000
Ba: 0.249 0.748 0.256
Ba: 0.250 0.250 0.250
Ba: 0.495 0.495 0.505
Ba: 0.502 0.994 0.502
Ba: 0.745 0.745 0.755
Ba: 0.748 0.249 0.748
Ba: 0.994 0.502 0.001
Cd: 0.160 0.763 0.590
Cd: 0.234 0.256 0.518
Cd: 0.256 0.234 0.992
Cd: 0.258 0.732 0.994
Cd: 0.660 0.764 0.090
Cd: 0.732 0.258 0.016
Cd: 0.763 0.160 0.486
Cd: 0.764 0.660 0.487
Sn: 0.007 0.984 0.742
Sn: 0.095 0.481 0.654
Sn: 0.480 0.596 0.769
Sn: 0.481 0.095 0.770
Sn: 0.508 0.984 0.243
Sn: 0.596 0.480 0.155
Sn: 0.984 0.007 0.266
Sn: 0.984 0.508 0.266
Se: 0.020 0.203 0.057
Se: 0.024 0.704 0.054
Se: 0.031 0.697 0.547
Se: 0.032 0.196 0.546
Se: 0.193 0.530 0.230
Se: 0.196 0.032 0.226
Se: 0.201 0.521 0.722
Se: 0.203 0.020 0.720
Se: 0.271 0.447 0.976
Se: 0.274 0.944 0.979
Se: 0.286 0.473 0.465
Se: 0.312 0.979 0.439
Se: 0.447 0.271 0.306
Se: 0.462 0.774 0.292
Se: 0.473 0.286 0.776
Se: 0.474 0.785 0.777
Se: 0.521 0.201 0.556
Se: 0.524 0.703 0.553
Se: 0.528 0.694 0.049
Se: 0.530 0.193 0.047
Se: 0.694 0.528 0.729
Se: 0.697 0.031 0.726
Se: 0.703 0.524 0.219
Se: 0.704 0.024 0.218
Se: 0.774 0.462 0.473
Se: 0.777 0.958 0.476
Se: 0.785 0.474 0.964
Se: 0.811 0.980 0.938
Se: 0.944 0.274 0.803
Se: 0.958 0.777 0.788
Se: 0.979 0.312 0.270
Se: 0.980 0.811 0.271


Structure and theoretical powder diffraction line list of Dy2TmAl3Ge2Au (a cell relaxed with PBE; Cu Kα (weighted mean of Kα1 and Kα2)).

Largest 6 diffraction maxima, in order of rising 2θ, 2θ = 10–90°:
2θ = 20.9°, I 35
2θ = 25.3°, I 27
2θ = 29.3°, I 39
2θ = 33.1°, I 49
2θ = 36.3°, I 100
2θ = 44.8°, I 26

Structural model:
Cell lengths 4.250, 7.022, 7.022 Å; angles 119.79, 90.00, 90.00 degrees
Fractional positions:
Dy: 0.000 0.207 0.793
Dy: 0.000 0.793 0.207
Tm: 0.000 0.623 0.623
Al: 0.500 0.208 0.446
Al: 0.500 0.446 0.208
Al: 0.500 0.971 0.971
Ge: 0.500 0.542 0.872
Ge: 0.500 0.872 0.542
Au: 0.000 0.214 0.214


Structure and theoretical powder diffraction line list of Cu13Te2 (a cell relaxed with PBE; Cu Kα (weighted mean of Kα1 and Kα2)).

Largest 6 diffraction maxima, in order of rising 2θ, 2θ = 10–90°:
2θ = 42.6°, I 100
2θ = 42.9°, I 94
2θ = 43.4°, I 53
2θ = 45.2°, I 46
2θ = 49.9°, I 34
2θ = 50.5°, I 28

Structural model:
Cell lengths 6.799, 6.799, 29.317 Å; angles 90.38, 90.38, 31.20 degrees
Fractional positions:
Cu: 0.018 0.018 0.325
Cu: 0.057 0.057 0.409
Cu: 0.096 0.096 0.492
Cu: 0.135 0.135 0.576
Cu: 0.172 0.172 0.659
Cu: 0.210 0.210 0.307
Cu: 0.250 0.250 0.391
Cu: 0.289 0.289 0.475
Cu: 0.327 0.327 0.559
Cu: 0.366 0.366 0.642
Cu: 0.396 0.396 0.292
Cu: 0.442 0.442 0.375
Cu: 0.481 0.481 0.458
Cu: 0.519 0.519 0.542
Cu: 0.558 0.558 0.625
Cu: 0.604 0.604 0.708
Cu: 0.634 0.634 0.358
Cu: 0.673 0.673 0.441
Cu: 0.711 0.711 0.525
Cu: 0.750 0.750 0.609
Cu: 0.790 0.790 0.693
Cu: 0.828 0.828 0.341
Cu: 0.865 0.865 0.424
Cu: 0.904 0.904 0.508
Cu: 0.943 0.943 0.591
Cu: 0.982 0.982 0.675
Te: 0.185 0.185 0.757
Te: 0.422 0.422 0.738
Te: 0.578 0.578 0.262
Te: 0.815 0.815 0.243


Structure and theoretical powder diffraction line list of TbPrPt2 (a cell relaxed with PBE; Cu Kα (weighted mean of Kα1 and Kα2)).

Largest 6 diffraction maxima, in order of rising 2θ, 2θ = 10–90°:
2θ = 31.4°, I 55
2θ = 33.9°, I 30
2θ = 35.3°, I 70
2θ = 39.3°, I 100
2θ = 52.8°, I 17
2θ = 53.0°, I 16

Structural model:
Cell lengths 4.589, 7.254, 5.679 Å; angles 90.00, 90.00, 90.00 degrees
Fractional positions:
Tb: 0.000 0.065 0.000
Tb: 0.500 0.935 0.500
Pr: 0.000 0.570 0.780
Pr: 0.500 0.430 0.280
Pt: 0.000 0.191 0.486
Pt: 0.000 0.720 0.295
Pt: 0.500 0.280 0.795
Pt: 0.500 0.809 0.986


Structure and theoretical powder diffraction line list of Nb2CN2O2 (a cell relaxed with PBE; Cu Kα (weighted mean of Kα1 and Kα2)).

Largest 6 diffraction maxima, in order of rising 2θ, 2θ = 10–90°:
2θ = 18.9°, I 100
2θ = 33.8°, I 50
2θ = 36.5°, I 67
2θ = 38.7°, I 32
2θ = 48.0°, I 68
2θ = 59.8°, I 31

Structural model:
Cell lengths 3.094, 3.094, 18.751 Å; angles 90.00, 90.00, 120.00 degrees
Fractional positions:
Nb: 0.333 0.667 0.109
Nb: 0.333 0.667 0.391
Nb: 0.667 0.333 0.609
Nb: 0.667 0.333 0.891
C: 0.000 0.000 0.250
C: 0.000 0.000 0.750
N: 0.000 0.000 0.184
N: 0.000 0.000 0.316
N: 0.000 0.000 0.684
N: 0.000 0.000 0.816
O: 0.333 0.667 0.553
O: 0.333 0.667 0.947
O: 0.667 0.333 0.053
O: 0.667 0.333 0.447


Structure and theoretical powder diffraction line list of YTm2Al7Cu2 (a cell relaxed with PBE; Cu Kα (weighted mean of Kα1 and Kα2)).

Largest 6 diffraction maxima, in order of rising 2θ, 2θ = 10–90°:
2θ = 19.1°, I 28
2θ = 23.5°, I 39
2θ = 31.1°, I 49
2θ = 32.8°, I 90
2θ = 34.1°, I 28
2θ = 39.3°, I 100

Structural model:
Cell lengths 9.016, 9.016, 9.016 Å; angles 35.26, 35.26, 35.26 degrees
Fractional positions:
Y: 0.000 0.000 0.000
Tm: 0.142 0.142 0.142
Tm: 0.858 0.858 0.858
Al: 0.073 0.582 0.582
Al: 0.418 0.418 0.927
Al: 0.418 0.927 0.418
Al: 0.500 0.500 0.500
Al: 0.582 0.073 0.582
Al: 0.582 0.582 0.073
Al: 0.927 0.418 0.418
Cu: 0.335 0.335 0.335
Cu: 0.665 0.665 0.665


Structure and theoretical powder diffraction line list of MgCo6As2P2 (a cell relaxed with PBE; Cu Kα (weighted mean of Kα1 and Kα2)).

Largest 6 diffraction maxima, in order of rising 2θ, 2θ = 10–90°:
2θ = 15.2°, I 56
2θ = 37.6°, I 40
2θ = 40.8°, I 100
2θ = 41.0°, I 40
2θ = 49.3°, I 95
2θ = 54.6°, I 40

Structural model:
Cell lengths 3.401, 6.726, 6.726 Å; angles 60.04, 90.00, 90.00 degrees
Fractional positions:
Mg: 0.000 0.000 0.000
Co: 0.000 0.516 0.920
Co: 0.000 0.533 0.533
Co: 0.000 0.920 0.516
Co: 0.500 0.185 0.185
Co: 0.500 0.200 0.602
Co: 0.500 0.602 0.200
As: 0.000 0.327 0.327
As: 0.500 0.808 0.808
P: 0.500 0.368 0.806
P: 0.500 0.806 0.368


Q: Number 4 is which compound?
A: BaCdSnSe4